# LiVOF3
Calculated XRD peak list, CuKα. Input: the PBE+U geometry in the Materials Project.
Lines closer than 0.1° are merged.

Top 12 peaks for 15° ≤ 2θ ≤ 90°, in order of rising 2θ:
| h k l | two_theta | d (Å) | I_rel |
| --- | --- | --- | --- |
| 1 1 0 | 16.34 | 5.425 | 100 |
| 1 -1 2 | 25.10 | 3.548 | 32 |
| -1 1 2 | 25.21 | 3.533 | 31 |
| 0 2 2 | 25.43 | 3.502 | 37 |
| 2 0 2 | 25.57 | 3.483 | 36 |
| 2 2 0 | 33.02 | 2.712 | 13 |
| 1 1 4 | 33.51 | 2.674 | 14 |
| 2 -2 2 | 39.42 | 2.286 | 10 |
| -2 2 2 | 39.57 | 2.278 | 10 |
| -1 3 4 | 49.01 | 1.859 | 18 |
| 3 3 0 | 50.47 | 1.808 | 11 |
| 3 1 6 | 55.43 | 1.658 | 11 |

Structure:
```
data_LiVOF3
_chemical_formula_sum 'Li8 V8 O8 F24'
_space_group_name_H-M_alt 'P 1'
_space_group_IT_number 1
_space_group_name_Hall 'P 1'
_cell_length_a 7.861
_cell_length_b 7.940
_cell_length_c 10.701
_cell_angle_alpha 71.62
_cell_angle_beta 71.44
_cell_angle_gamma 81.74
loop_
_atom_site_label
_atom_site_type_symbol
_atom_site_fract_x
_atom_site_fract_y
_atom_site_fract_z
_atom_site_occupancy
Li1 Li 0.000 0.000 0.000 1
Li2 Li 0.003 0.002 0.501 1
Li3 Li 0.185 0.802 0.248 1
Li4 Li 0.207 0.793 0.750 1
Li5 Li 0.346 0.540 0.444 1
Li6 Li 0.505 0.502 0.999 1
Li7 Li 0.692 0.296 0.749 1
Li8 Li 0.701 0.297 0.252 1
V1 V 0.151 0.213 0.701 1
V2 V 0.155 0.220 0.198 1
V3 V 0.427 0.944 0.448 1
V4 V 0.428 0.946 0.948 1
V5 V 0.654 0.718 0.698 1
V6 V 0.655 0.718 0.199 1
V7 V 0.918 0.444 0.451 1
V8 V 0.927 0.444 0.948 1
O1 O 0.023 0.263 0.589 1
O2 O 0.026 0.266 0.088 1
O3 O 0.463 0.809 0.342 1
O4 O 0.473 0.816 0.839 1
O5 O 0.525 0.773 0.588 1
O6 O 0.529 0.768 0.087 1
O7 O 0.971 0.312 0.841 1
O8 O 0.977 0.321 0.337 1
F1 F 0.058 0.990 0.315 1
F2 F 0.060 0.981 0.815 1
F3 F 0.132 0.577 0.875 1
F4 F 0.137 0.581 0.380 1
F5 F 0.191 0.854 0.062 1
F6 F 0.192 0.850 0.563 1
F7 F 0.284 0.418 0.627 1
F8 F 0.291 0.423 0.126 1
F9 F 0.295 0.142 0.847 1
F10 F 0.297 0.144 0.347 1
F11 F 0.349 0.084 0.597 1
F12 F 0.352 0.087 0.097 1
F13 F 0.551 0.487 0.307 1
F14 F 0.560 0.487 0.813 1
F15 F 0.631 0.078 0.374 1
F16 F 0.632 0.080 0.877 1
F17 F 0.692 0.354 0.064 1
F18 F 0.696 0.347 0.562 1
F19 F 0.787 0.923 0.130 1
F20 F 0.792 0.920 0.628 1
F21 F 0.797 0.642 0.847 1
F22 F 0.800 0.644 0.342 1
F23 F 0.853 0.587 0.097 1
F24 F 0.853 0.588 0.594 1
```